1.
Simulated powder diffraction line list
Compound: Tl2Ni7
Radiation: Cu Kα (λ = 1.5418 Å)
Structure: DFT lattice parameters and positions (PBE)
Peak positions follow from Bragg's law for the DFT cell and can differ from measured ones.

The 10 most intense peaks (2θ from 15° to 90°), in order of rising 2θ:
- 17.6°, d = 5.045 Å, I = 20
- 21.1°, d = 4.204 Å, I = 32
- 39.3°, d = 2.292 Å, I = 37
- 39.8°, d = 2.264 Å, I = 29
- 41.8°, d = 2.162 Å, I = 100
- 43.2°, d = 2.094 Å, I = 30
- 46.8°, d = 1.940 Å, I = 26
- 49.0°, d = 1.859 Å, I = 44
- 51.4°, d = 1.779 Å, I = 19
- 70.9°, d = 1.329 Å, I = 21

Cell and atoms:
a = 2.657 Å, b = 2.657 Å, c = 25.223 Å
α = 90.00°, β = 90.00°, γ = 120.00°
Positions (direct):
Tl: 0.333 0.667 0.175
Tl: 0.667 0.333 0.825
Ni: 0.000 0.000 0.272
Ni: 0.000 0.000 0.500
Ni: 0.000 0.000 0.728
Ni: 0.333 0.667 0.425
Ni: 0.333 0.667 0.651
Ni: 0.667 0.333 0.349
Ni: 0.667 0.333 0.575

=====

2.
Simulated powder diffraction line list
Compound: TlNi15
Radiation: Cu Kα (λ = 1.5418 Å)
Structure: DFT lattice parameters and positions (PBE)
Peak positions follow from Bragg's law for the DFT cell and can differ from measured ones.

The 10 most intense peaks (2θ from 15° to 90°), in order of rising 2θ:
- 25.7°, d = 3.465 Å, I = 14
- 39.2°, d = 2.296 Å, I = 13
- 43.6°, d = 2.075 Å, I = 59
- 44.8°, d = 2.025 Å, I = 100
- 45.9°, d = 1.976 Å, I = 30
- 50.9°, d = 1.794 Å, I = 34
- 52.6°, d = 1.740 Å, I = 30
- 53.0°, d = 1.729 Å, I = 20
- 76.2°, d = 1.249 Å, I = 19
- 76.5°, d = 1.245 Å, I = 12

Cell and atoms:
a = 4.280 Å, b = 33.610 Å, c = 4.280 Å
α = 90.00°, β = 108.82°, γ = 90.00°
Positions (direct):
Tl: 0.000 0.000 0.000
Tl: 0.500 0.412 0.000
Ni: 0.000 0.432 0.500
Ni: 0.000 0.466 0.000
Ni: 0.000 0.504 0.500
Ni: 0.000 0.540 0.000
Ni: 0.000 0.576 0.500
Ni: 0.000 0.614 0.000
Ni: 0.000 0.650 0.500
Ni: 0.000 0.687 0.000
Ni: 0.000 0.724 0.500
Ni: 0.000 0.760 0.000
Ni: 0.000 0.797 0.500
Ni: 0.000 0.834 0.000
Ni: 0.000 0.870 0.500
Ni: 0.000 0.908 0.000
Ni: 0.000 0.945 0.500
Ni: 0.500 0.466 0.500
Ni: 0.500 0.504 0.000
Ni: 0.500 0.540 0.500
Ni: 0.500 0.577 0.000
Ni: 0.500 0.614 0.500
Ni: 0.500 0.651 0.000
Ni: 0.500 0.687 0.500
Ni: 0.500 0.724 0.000
Ni: 0.500 0.761 0.500
Ni: 0.500 0.797 0.000
Ni: 0.500 0.834 0.500
Ni: 0.500 0.870 0.000
Ni: 0.500 0.907 0.500
Ni: 0.500 0.945 0.000
Ni: 0.500 0.980 0.500